Computed powder diffraction line list
Compound: PrHo2TmTh
Radiation: copper Kα
Structure: a structure optimized by DFT (PBE)
Peak positions follow from Bragg's law for the DFT cell and can differ from measured ones.

Main lines, sorted by position (10° ≤ 2θ ≤ 80°):
- 31.63 deg, I = 100.0
- 31.75 deg, I = 39.9
- 32.70 deg, I = 20.1
- 34.86 deg, I = 27.3
- 36.47 deg, I = 23.6
- 61.79 deg, I = 20.0

Cell and atoms:
```
data_PrHo2TmTh
_chemical_formula_sum 'Pr1 Ho2 Tm1 Th1'
_space_group_name_H-M_alt 'P m m m'
_space_group_IT_number 47
_cell_length_a 3.531
_cell_length_b 5.636
_cell_length_c 8.678
_cell_angle_alpha 90.00
_cell_angle_beta 90.00
_cell_angle_gamma 90.00
loop_
_space_group_symop_operation_xyz
'x,y,z'
'-x,-y,-z'
'-x,-y,z'
'x,y,-z'
'x,-y,-z'
'-x,y,z'
'-x,y,-z'
'x,-y,z'
loop_
_atom_site_label
_atom_site_fract_x
_atom_site_fract_y
_atom_site_fract_z
Pr1 0.000 0.000 0.000
Ho1 0.000 0.500 0.323
Tm1 0.500 0.000 0.500
Th1 0.500 0.500 0.000
```